# 1
Diffraction record for LaNdTm5. The powder diffractogram is calculated, not measured: it uses a GGA-PBE-relaxed structure and λ = 1.5418 Å (Cu Kα).

```
data_LaNdTm5
_symmetry_space_group_name_H-M 'P 1'
_symmetry_Int_Tables_number 1
_cell_length_a 8.841
_cell_length_b 8.841
_cell_length_c 8.841
_cell_angle_alpha 132.96
_cell_angle_beta 98.53
_cell_angle_gamma 99.80
loop_
_symmetry_equiv_pos_as_xyz
'x,y,z'
loop_
_atom_site_label
_atom_site_fract_x
_atom_site_fract_y
_atom_site_fract_z
La1 0.500 0.000 0.000
La2 0.500 0.500 0.500
Nd1 0.203 0.453 0.750
Nd2 0.797 0.547 0.250
Tm1 0.000 0.248 0.248
Tm2 0.000 0.752 0.752
Tm3 0.205 0.955 0.250
Tm4 0.217 0.250 0.967
Tm5 0.217 0.750 0.467
Tm6 0.500 0.248 0.748
Tm7 0.500 0.752 0.252
Tm8 0.783 0.250 0.533
Tm9 0.783 0.750 0.033
Tm10 0.795 0.045 0.750
```

Peak list (10 most intense, 10° ≤ 2θ ≤ 90°, by angle)
| Position (°2θ) | d/Å | intensity |
| --- | --- | --- |
| 24.69 | 3.606 | 10 |
| 27.57 | 3.235 | 13 |
| 31.00 | 2.885 | 29 |
| 31.42 | 2.847 | 24 |
| 33.16 | 2.702 | 16 |
| 33.68 | 2.661 | 100 |
| 44.72 | 2.026 | 14 |
| 56.86 | 1.619 | 17 |
| 57.39 | 1.606 | 11 |
| 61.89 | 1.499 | 10 |

***

# 2
Diffraction record for V6ReW2. The powder diffractogram is calculated, not measured: it uses a GGA-PBE-relaxed structure and λ = 1.5418 Å (Cu Kα).

```
data_V6ReW2
_symmetry_space_group_name_H-M 'P 1'
_symmetry_Int_Tables_number 1
_cell_length_a 2.681
_cell_length_b 2.681
_cell_length_c 19.143
_cell_angle_alpha 92.48
_cell_angle_beta 92.48
_cell_angle_gamma 110.68
loop_
_symmetry_equiv_pos_as_xyz
'x,y,z'
loop_
_atom_site_label
_atom_site_fract_x
_atom_site_fract_y
_atom_site_fract_z
V1 0.055 0.055 0.110
V2 0.277 0.277 0.553
V3 0.392 0.392 0.783
V4 0.608 0.608 0.217
V5 0.723 0.723 0.447
V6 0.945 0.945 0.890
Re1 0.500 0.500 0.000
W1 0.166 0.166 0.332
W2 0.834 0.834 0.668
```

Peak list (10 most intense, 10° ≤ 2θ ≤ 90°, by angle)
| Position (°2θ) | d/Å | intensity |
| --- | --- | --- |
| 13.92 | 6.362 | 100 |
| 28.05 | 3.181 | 24 |
| 36.51 | 2.461 | 46 |
| 40.92 | 2.205 | 37 |
| 41.78 | 2.162 | 69 |
| 41.89 | 2.156 | 69 |
| 42.63 | 2.121 | 32 |
| 60.57 | 1.529 | 22 |
| 75.15 | 1.264 | 23 |
| 77.60 | 1.230 | 16 |

***

# 3
Diffraction record for Be7Tc. The powder diffractogram is calculated, not measured: it uses a GGA-PBE-relaxed structure and λ = 1.5418 Å (Cu Kα).

```
data_Be7Tc
_symmetry_space_group_name_H-M 'P 1'
_symmetry_Int_Tables_number 1
_cell_length_a 4.715
_cell_length_b 4.715
_cell_length_c 4.715
_cell_angle_alpha 60.00
_cell_angle_beta 60.00
_cell_angle_gamma 60.00
loop_
_symmetry_equiv_pos_as_xyz
'x,y,z'
loop_
_atom_site_label
_atom_site_fract_x
_atom_site_fract_y
_atom_site_fract_z
Be1 0.000 0.000 0.000
Be2 0.000 0.000 0.500
Be3 0.000 0.500 0.000
Be4 0.000 0.500 0.500
Be5 0.500 0.000 0.000
Be6 0.500 0.000 0.500
Be7 0.500 0.500 0.000
Tc1 0.500 0.500 0.500
```

Peak list (10 most intense, 10° ≤ 2θ ≤ 90°, by angle)
| Position (°2θ) | d/Å | intensity |
| --- | --- | --- |
| 23.10 | 3.850 | 100 |
| 26.74 | 3.334 | 52 |
| 38.17 | 2.358 | 40 |
| 45.09 | 2.011 | 50 |
| 47.22 | 1.925 | 32 |
| 55.09 | 1.667 | 15 |
| 60.52 | 1.530 | 20 |
| 62.27 | 1.491 | 19 |
| 73.84 | 1.283 | 15 |
| 86.31 | 1.127 | 15 |

***

# 4
Diffraction record for Gd2Rh4C. The powder diffractogram is calculated, not measured: it uses a GGA-PBE-relaxed structure and λ = 1.5418 Å (Cu Kα).

```
data_Gd2Rh4C
_symmetry_space_group_name_H-M 'P 1'
_symmetry_Int_Tables_number 1
_cell_length_a 7.752
_cell_length_b 7.752
_cell_length_c 7.752
_cell_angle_alpha 149.00
_cell_angle_beta 149.00
_cell_angle_gamma 44.41
loop_
_symmetry_equiv_pos_as_xyz
'x,y,z'
loop_
_atom_site_label
_atom_site_fract_x
_atom_site_fract_y
_atom_site_fract_z
Gd1 0.158 0.158 0.000
Gd2 0.842 0.842 0.000
Rh1 0.000 0.500 0.500
Rh2 0.358 0.358 0.000
Rh3 0.500 0.000 0.500
Rh4 0.642 0.642 0.000
C1 0.500 0.500 0.000
```

Peak list (10 most intense, 10° ≤ 2θ ≤ 90°, by angle)
| Position (°2θ) | d/Å | intensity |
| --- | --- | --- |
| 30.52 | 2.929 | 29 |
| 33.03 | 2.712 | 64 |
| 37.60 | 2.392 | 33 |
| 39.72 | 2.269 | 100 |
| 43.70 | 2.071 | 58 |
| 58.98 | 1.566 | 35 |
| 63.51 | 1.465 | 19 |
| 73.47 | 1.289 | 32 |
| 76.21 | 1.249 | 16 |
| 77.57 | 1.231 | 28 |

***

# 5
Diffraction record for Cu5Pd3Au3. The powder diffractogram is calculated, not measured: it uses a GGA-PBE-relaxed structure and λ = 1.5418 Å (Cu Kα).

```
data_Cu5Pd3Au3
_symmetry_space_group_name_H-M 'P 1'
_symmetry_Int_Tables_number 1
_cell_length_a 3.871
_cell_length_b 6.183
_cell_length_c 7.275
_cell_angle_alpha 105.15
_cell_angle_beta 105.36
_cell_angle_gamma 90.04
loop_
_symmetry_equiv_pos_as_xyz
'x,y,z'
loop_
_atom_site_label
_atom_site_fract_x
_atom_site_fract_y
_atom_site_fract_z
Cu1 0.000 0.000 0.000
Cu2 0.092 0.449 0.185
Cu3 0.546 0.726 0.092
Cu4 0.727 0.635 0.454
Cu5 0.819 0.087 0.638
Pd1 0.367 0.827 0.733
Pd2 0.634 0.175 0.268
Pd3 0.918 0.561 0.835
Au1 0.178 0.888 0.355
Au2 0.272 0.370 0.544
Au3 0.458 0.277 0.917
```

Peak list (10 most intense, 10° ≤ 2θ ≤ 90°, by angle)
| Position (°2θ) | d/Å | intensity |
| --- | --- | --- |
| 23.92 | 3.721 | 12 |
| 40.13 | 2.247 | 35 |
| 40.19 | 2.244 | 100 |
| 46.37 | 1.958 | 22 |
| 46.87 | 1.938 | 24 |
| 46.95 | 1.935 | 22 |
| 68.07 | 1.377 | 20 |
| 68.51 | 1.370 | 13 |
| 81.74 | 1.178 | 12 |
| 82.54 | 1.169 | 16 |

***

# 6
Diffraction record for CaPmSm3. The powder diffractogram is calculated, not measured: it uses a GGA-PBE-relaxed structure and λ = 1.5418 Å (Cu Kα).

```
data_CaPmSm3
_symmetry_space_group_name_H-M 'P 1'
_symmetry_Int_Tables_number 1
_cell_length_a 6.338
_cell_length_b 6.338
_cell_length_c 11.394
_cell_angle_alpha 90.00
_cell_angle_beta 90.00
_cell_angle_gamma 128.57
loop_
_symmetry_equiv_pos_as_xyz
'x,y,z'
loop_
_atom_site_label
_atom_site_fract_x
_atom_site_fract_y
_atom_site_fract_z
Ca1 0.156 0.844 0.000
Ca2 0.844 0.156 0.000
Pm1 0.363 0.637 0.500
Pm2 0.637 0.363 0.500
Sm1 0.153 0.847 0.305
Sm2 0.153 0.847 0.695
Sm3 0.500 0.500 0.186
Sm4 0.500 0.500 0.814
Sm5 0.847 0.153 0.305
Sm6 0.847 0.153 0.695
```

Peak list (10 most intense, 10° ≤ 2θ ≤ 90°, by angle)
| Position (°2θ) | d/Å | intensity |
| --- | --- | --- |
| 28.22 | 3.162 | 13 |
| 28.51 | 3.130 | 33 |
| 29.63 | 3.015 | 87 |
| 31.36 | 2.852 | 12 |
| 32.61 | 2.746 | 100 |
| 37.21 | 2.416 | 23 |
| 56.30 | 1.634 | 14 |
| 58.15 | 1.586 | 12 |
| 62.09 | 1.495 | 13 |
| 64.42 | 1.446 | 16 |

***

# 7
Diffraction record for DyTl2Pb2. The powder diffractogram is calculated, not measured: it uses a GGA-PBE-relaxed structure and λ = 1.5418 Å (Cu Kα).

```
data_DyTl2Pb2
_symmetry_space_group_name_H-M 'P 1'
_symmetry_Int_Tables_number 1
_cell_length_a 13.715
_cell_length_b 13.715
_cell_length_c 4.659
_cell_angle_alpha 90.00
_cell_angle_beta 90.00
_cell_angle_gamma 160.53
loop_
_symmetry_equiv_pos_as_xyz
'x,y,z'
loop_
_atom_site_label
_atom_site_fract_x
_atom_site_fract_y
_atom_site_fract_z
Dy1 0.152 0.848 0.750
Dy2 0.848 0.152 0.250
Tl1 0.051 0.949 0.250
Tl2 0.449 0.551 0.250
Tl3 0.551 0.449 0.750
Tl4 0.949 0.051 0.750
Pb1 0.251 0.749 0.250
Pb2 0.354 0.646 0.750
Pb3 0.646 0.354 0.250
Pb4 0.749 0.251 0.750
```

Peak list (10 most intense, 10° ≤ 2θ ≤ 90°, by angle)
| Position (°2θ) | d/Å | intensity |
| --- | --- | --- |
| 31.86 | 2.809 | 100 |
| 33.14 | 2.703 | 22 |
| 38.65 | 2.330 | 15 |
| 38.83 | 2.319 | 15 |
| 51.80 | 1.765 | 13 |
| 51.95 | 1.760 | 13 |
| 58.39 | 1.580 | 18 |
| 65.71 | 1.421 | 13 |
| 65.97 | 1.416 | 13 |
| 66.59 | 1.404 | 12 |

***

# 8
Diffraction record for NbMoPt4. The powder diffractogram is calculated, not measured: it uses a GGA-PBE-relaxed structure and λ = 1.5418 Å (Cu Kα).

```
data_NbMoPt4
_symmetry_space_group_name_H-M 'P 1'
_symmetry_Int_Tables_number 1
_cell_length_a 2.802
_cell_length_b 2.802
_cell_length_c 12.135
_cell_angle_alpha 90.00
_cell_angle_beta 90.00
_cell_angle_gamma 90.00
loop_
_symmetry_equiv_pos_as_xyz
'x,y,z'
loop_
_atom_site_label
_atom_site_fract_x
_atom_site_fract_y
_atom_site_fract_z
Nb1 0.000 0.000 0.000
Mo1 0.500 0.500 0.500
Pt1 0.000 0.000 0.342
Pt2 0.000 0.000 0.658
Pt3 0.500 0.500 0.164
Pt4 0.500 0.500 0.836
```

Peak list (10 most intense, 10° ≤ 2θ ≤ 90°, by angle)
| Position (°2θ) | d/Å | intensity |
| --- | --- | --- |
| 14.60 | 6.067 | 6 |
| 32.80 | 2.731 | 8 |
| 39.10 | 2.304 | 100 |
| 44.81 | 2.022 | 16 |
| 45.79 | 1.982 | 32 |
| 66.00 | 1.415 | 21 |
| 66.76 | 1.401 | 11 |
| 78.77 | 1.215 | 12 |
| 80.18 | 1.197 | 25 |
| 84.03 | 1.152 | 11 |

***

> Which formula does entry 6 have?

CaPmSm3